# 1
PmGdSO2: simulated powder diffractogram (λ = 1.5418 Å (Cu Kα)), based on a PBE-relaxed structure.
Kinematic intensities with the Lorentz-polarization factor, no thermal factor.

Main lines, low angle first (5° ≤ 2θ ≤ 70°):
- 26.5°, d 3.360, rel. 20, hkl 1 0 0
- 26.6°, d 3.348, rel. 22, hkl 0 0 2
- 29.7°, d 3.003, rel. 100, hkl 1 0 1
- 37.9°, d 2.372, rel. 30, hkl 0 1 2
- 46.8°, d 1.940, rel. 31, hkl 1 1 0
- 49.0°, d 1.859, rel. 25, hkl 1 0 3
- 54.7°, d 1.679, rel. 22, hkl 1 1 2
- 56.5°, d 1.630, rel. 17, hkl 0 2 1

Cell and atoms:
```
data_PmGdSO2
_chemical_formula_sum 'Pm1 Gd1 S1 O2'
_cell_length_a 3.8799
_cell_length_b 3.8799
_cell_length_c 6.6953
_cell_angle_alpha 90.00
_cell_angle_beta 90.00
_cell_angle_gamma 120.00
_symmetry_space_group_name_H-M 'P 3 m 1'
_symmetry_Int_Tables_number 156
_symmetry_space_group_name_Hall 'P 3 -2"'
loop_
_atom_site_label
_atom_site_type_symbol
_atom_site_fract_x
_atom_site_fract_y
_atom_site_fract_z
_atom_site_occupancy
Pm1 Pm 0.0000 0.0000 0.0000 1
Gd1 Gd 0.6667 0.3333 0.4385 1
S1 S 0.3333 0.6667 0.7167 1
O1 O 0.0000 0.0000 0.3537 1
O2 O 0.6667 0.3333 0.0947 1
```

---

# 2
PmGdSeO2: simulated powder diffractogram (λ = 1.5418 Å (Cu Kα)), based on a PBE-relaxed structure.
Kinematic intensities with the Lorentz-polarization factor, no thermal factor.

Main lines, low angle first (5° ≤ 2θ ≤ 70°):
- 25.9°, d 3.442, rel. 11, hkl 0 0 2
- 29.4°, d 3.038, rel. 100, hkl 1 0 1
- 37.3°, d 2.414, rel. 41, hkl 0 1 2
- 39.3°, d 2.294, rel. 10, hkl 0 0 3
- 46.4°, d 1.955, rel. 34, hkl 1 1 0
- 47.9°, d 1.899, rel. 17, hkl 1 0 3
- 55.9°, d 1.644, rel. 17, hkl 0 2 1
- 62.4°, d 1.488, rel. 15, hkl 1 1 3

Cell and atoms:
```
data_PmGdSeO2
_chemical_formula_sum 'Pm1 Gd1 Se1 O2'
_cell_length_a 3.9100
_cell_length_b 3.9100
_cell_length_c 6.8831
_cell_angle_alpha 90.00
_cell_angle_beta 90.00
_cell_angle_gamma 120.00
_symmetry_space_group_name_H-M 'P 3 m 1'
_symmetry_Int_Tables_number 156
_symmetry_space_group_name_Hall 'P 3 -2"'
loop_
_atom_site_label
_atom_site_type_symbol
_atom_site_fract_x
_atom_site_fract_y
_atom_site_fract_z
_atom_site_occupancy
Pm1 Pm 0.0000 0.0000 0.0000 1
Gd1 Gd 0.6667 0.3333 0.4225 1
Se1 Se 0.3333 0.6667 0.7077 1
O1 O 0.0000 0.0000 0.3418 1
O2 O 0.6667 0.3333 0.0893 1
```

---

# 3
Pr2Gd2O5: simulated powder diffractogram (λ = 1.5418 Å (Cu Kα)), based on a PBE-relaxed structure.
Kinematic intensities with the Lorentz-polarization factor, no thermal factor.

Main lines, low angle first (5° ≤ 2θ ≤ 70°):
- 28.6°, d 3.123, rel. 100, hkl 1 0 2
- 32.3°, d 2.770, rel. 32, hkl 1 1 0
- 34.7°, d 2.588, rel. 14, hkl 0 0 4
- 46.4°, d 1.958, rel. 18, hkl 2 0 0
- 48.1°, d 1.891, rel. 31, hkl 1 1 4
- 55.4°, d 1.659, rel. 32, hkl 2 1 2
- 58.5°, d 1.579, rel. 13, hkl 1 0 6
- 59.2°, d 1.562, rel. 12, hkl 2 0 4

Cell and atoms:
```
data_Pr2Gd2O5
_chemical_formula_sum 'Pr2 Gd2 O5'
_cell_length_a 3.917
_cell_length_b 3.917
_cell_length_c 10.350
_cell_angle_alpha 90.00
_cell_angle_beta 90.00
_cell_angle_gamma 90.00
_symmetry_space_group_name_H-M 'P 4/m m m'
_symmetry_Int_Tables_number 123
_symmetry_space_group_name_Hall '-P 4 2'
loop_
_atom_site_label
_atom_site_type_symbol
_atom_site_fract_x
_atom_site_fract_y
_atom_site_fract_z
_atom_site_occupancy
Pr1 Pr 0.000 0.000 0.240 1
Gd1 Gd 0.500 0.500 0.000 1
Gd2 Gd 0.500 0.500 0.500 1
O1 O 0.000 0.000 0.500 1
O2 O 0.000 0.500 0.134 1
```

---

# 4
PrGdZn2Sb2O2: simulated powder diffractogram (λ = 1.5418 Å (Cu Kα)), based on a PBE-relaxed structure.
Kinematic intensities with the Lorentz-polarization factor, no thermal factor.

Main lines, low angle first (5° ≤ 2θ ≤ 70°):
- 28.5°, d 3.131, rel. 100, hkl 1 0 2
- 30.5°, d 2.935, rel. 25, hkl 1 1 0
- 31.9°, d 2.806, rel. 19, hkl 1 1 1
- 35.6°, d 2.524, rel. 28, hkl 1 0 3
- 35.9°, d 2.500, rel. 23, hkl 1 1 2
- 43.6°, d 2.076, rel. 36, hkl 2 0 0
- 49.2°, d 1.851, rel. 22, hkl 1 1 4
- 52.9°, d 1.730, rel. 35, hkl 2 1 2

Cell and atoms:
```
data_PrGdZn2Sb2O2
_chemical_formula_sum 'Pr1 Gd1 Zn2 Sb2 O2'
_cell_length_a 4.151
_cell_length_b 4.151
_cell_length_c 9.538
_cell_angle_alpha 90.00
_cell_angle_beta 90.00
_cell_angle_gamma 90.00
_symmetry_space_group_name_H-M 'P 4 m m'
_symmetry_Int_Tables_number 99
_symmetry_space_group_name_Hall 'P 4 -2'
loop_
_atom_site_label
_atom_site_type_symbol
_atom_site_fract_x
_atom_site_fract_y
_atom_site_fract_z
_atom_site_occupancy
Pr1 Pr 0.000 0.000 0.000 1
Gd1 Gd 0.500 0.500 0.769 1
Zn1 Zn 0.000 0.500 0.382 1
Sb1 Sb 0.000 0.000 0.567 1
Sb2 Sb 0.500 0.500 0.195 1
O1 O 0.000 0.500 0.875 1
```

---

# 5
Pr2GdTa2O6: simulated powder diffractogram (λ = 1.5418 Å (Cu Kα)), based on a PBE-relaxed structure.
Kinematic intensities with the Lorentz-polarization factor, no thermal factor.

Main lines, low angle first (5° ≤ 2θ ≤ 70°):
- 9.0°, d 9.822, rel. 62, hkl 0 0 2
- 31.8°, d 2.818, rel. 100, hkl 1 1 0
- 32.0°, d 2.798, rel. 100, hkl 1 0 5
- 39.3°, d 2.294, rel. 47, hkl 1 0 7
- 45.5°, d 1.993, rel. 50, hkl 2 0 0
- 49.2°, d 1.851, rel. 24, hkl 1 1 8
- 56.7°, d 1.623, rel. 41, hkl 2 1 5
- 61.7°, d 1.504, rel. 25, hkl 2 1 7

Cell and atoms:
```
data_Pr2GdTa2O6
_chemical_formula_sum 'Pr4 Gd2 Ta4 O12'
_cell_length_a 3.985
_cell_length_b 3.985
_cell_length_c 19.643
_cell_angle_alpha 90.00
_cell_angle_beta 90.00
_cell_angle_gamma 90.00
_symmetry_space_group_name_H-M 'I 4/m m m'
_symmetry_Int_Tables_number 139
_symmetry_space_group_name_Hall '-I 4 2'
loop_
_atom_site_label
_atom_site_type_symbol
_atom_site_fract_x
_atom_site_fract_y
_atom_site_fract_z
_atom_site_occupancy
Pr1 Pr 0.000 0.000 0.182 1
Gd1 Gd 0.000 0.000 0.000 1
Ta1 Ta 0.000 0.000 0.433 1
O1 O 0.000 0.000 0.296 1
O2 O 0.000 0.500 0.093 1
```

---

# 6
RbGdO2: simulated powder diffractogram (λ = 1.5418 Å (Cu Kα)), based on a PBE-relaxed structure.
Kinematic intensities with the Lorentz-polarization factor, no thermal factor.

Main lines, low angle first (5° ≤ 2θ ≤ 70°):
- 17.5°, d 5.058, rel. 39, hkl 1 1 0
- 27.5°, d 3.240, rel. 74, hkl 0 0 2
- 28.0°, d 3.182, rel. 58, hkl 2 1 0
- 28.3°, d 3.153, rel. 100, hkl 0 2 1
- 31.3°, d 2.856, rel. 89, hkl 2 1 1
- 39.7°, d 2.270, rel. 64, hkl 2 1 2
- 47.8°, d 1.903, rel. 42, hkl 2 3 1
- 59.9°, d 1.545, rel. 22, hkl 4 2 1

Cell and atoms:
```
data_RbGdO2
_chemical_formula_sum 'Rb4 Gd4 O8'
_cell_length_a 7.090
_cell_length_b 7.217
_cell_length_c 6.479
_cell_angle_alpha 90.00
_cell_angle_beta 90.00
_cell_angle_gamma 90.00
_symmetry_space_group_name_H-M 'P b c m'
_symmetry_Int_Tables_number 57
_symmetry_space_group_name_Hall '-P 2c 2b'
loop_
_atom_site_label
_atom_site_type_symbol
_atom_site_fract_x
_atom_site_fract_y
_atom_site_fract_z
_atom_site_occupancy
Rb1 Rb 0.137 0.106 0.250 1
Gd1 Gd 0.356 0.661 0.250 1
O1 O 0.172 0.750 0.000 1
O2 O 0.423 0.134 0.750 1
```

---

# 7
RbGdSO: simulated powder diffractogram (λ = 1.5418 Å (Cu Kα)), based on a PBE-relaxed structure.
Kinematic intensities with the Lorentz-polarization factor, no thermal factor.

Main lines, low angle first (5° ≤ 2θ ≤ 70°):
- 12.4°, d 7.164, rel. 29, hkl 0 0 2
- 24.9°, d 3.582, rel. 28, hkl 0 0 4
- 30.1°, d 2.969, rel. 100, hkl 1 0 2
- 33.3°, d 2.694, rel. 30, hkl 1 0 3
- 37.3°, d 2.412, rel. 31, hkl 1 0 4
- 47.2°, d 1.927, rel. 32, hkl 1 0 6
- 48.3°, d 1.884, rel. 31, hkl 1 1 0
- 55.1°, d 1.667, rel. 20, hkl 1 1 4

Cell and atoms:
```
data_RbGdSO
_chemical_formula_sum 'Rb2 Gd2 S2 O2'
_cell_length_a 3.7673
_cell_length_b 3.7673
_cell_length_c 14.3275
_cell_angle_alpha 90.00
_cell_angle_beta 90.00
_cell_angle_gamma 120.00
_symmetry_space_group_name_H-M 'P 63 m c'
_symmetry_Int_Tables_number 186
_symmetry_space_group_name_Hall 'P 6c -2c'
loop_
_atom_site_label
_atom_site_type_symbol
_atom_site_fract_x
_atom_site_fract_y
_atom_site_fract_z
_atom_site_occupancy
Rb1 Rb 0.3333 0.6667 0.0000 1
Gd1 Gd 0.0000 0.0000 0.2759 1
S1 S 0.3333 0.6667 0.6586 1
O1 O 0.3333 0.6667 0.3445 1
```

---

# 8
Rb2Gd2SO3: simulated powder diffractogram (λ = 1.5418 Å (Cu Kα)), based on a PBE-relaxed structure.
Kinematic intensities with the Lorentz-polarization factor, no thermal factor.

Main lines, low angle first (5° ≤ 2θ ≤ 70°):
- 13.0°, d 6.828, rel. 27, hkl 0 0 2
- 26.1°, d 3.414, rel. 27, hkl 0 0 4
- 31.3°, d 2.859, rel. 100, hkl 0 1 2
- 34.6°, d 2.589, rel. 31, hkl 1 0 3
- 38.9°, d 2.315, rel. 24, hkl 1 0 4
- 49.4°, d 1.844, rel. 25, hkl 0 1 6
- 50.2°, d 1.818, rel. 29, hkl 1 1 0
- 57.4°, d 1.605, rel. 19, hkl 1 1 4

Cell and atoms:
```
data_Rb2Gd2SO3
_chemical_formula_sum 'Rb2 Gd2 S1 O3'
_cell_length_a 3.6358
_cell_length_b 3.6358
_cell_length_c 13.6552
_cell_angle_alpha 90.00
_cell_angle_beta 90.00
_cell_angle_gamma 120.00
_symmetry_space_group_name_H-M 'P 3 m 1'
_symmetry_Int_Tables_number 156
_symmetry_space_group_name_Hall 'P 3 -2"'
loop_
_atom_site_label
_atom_site_type_symbol
_atom_site_fract_x
_atom_site_fract_y
_atom_site_fract_z
_atom_site_occupancy
Rb1 Rb 0.0000 0.0000 0.0000 1
Rb2 Rb 0.3333 0.6667 0.5316 1
Gd1 Gd 0.6667 0.3333 0.2957 1
Gd2 Gd 0.6667 0.3333 0.7637 1
S1 S 0.3333 0.6667 0.1707 1
O1 O 0.0000 0.0000 0.3738 1
O2 O 0.0000 0.0000 0.6784 1
O3 O 0.3333 0.6667 0.8432 1
```

---

# 9
Rb2Gd2TeO3: simulated powder diffractogram (λ = 1.5418 Å (Cu Kα)), based on a PBE-relaxed structure.
Kinematic intensities with the Lorentz-polarization factor, no thermal factor.

Main lines, low angle first (5° ≤ 2θ ≤ 70°):
- 12.4°, d 7.149, rel. 31, hkl 0 0 2
- 30.6°, d 2.917, rel. 100, hkl 0 1 2
- 31.3°, d 2.860, rel. 22, hkl 0 0 5
- 33.8°, d 2.654, rel. 68, hkl 1 0 3
- 37.8°, d 2.382, rel. 31, hkl 1 0 4
- 49.4°, d 1.845, rel. 39, hkl 1 1 0
- 59.3°, d 1.559, rel. 22, hkl 2 0 2
- 59.6°, d 1.550, rel. 21, hkl 1 1 5

Cell and atoms:
```
data_Rb2Gd2TeO3
_chemical_formula_sum 'Rb2 Gd2 Te1 O3'
_cell_length_a 3.6894
_cell_length_b 3.6894
_cell_length_c 14.2986
_cell_angle_alpha 90.00
_cell_angle_beta 90.00
_cell_angle_gamma 120.00
_symmetry_space_group_name_H-M 'P 3 m 1'
_symmetry_Int_Tables_number 156
_symmetry_space_group_name_Hall 'P 3 -2"'
loop_
_atom_site_label
_atom_site_type_symbol
_atom_site_fract_x
_atom_site_fract_y
_atom_site_fract_z
_atom_site_occupancy
Rb1 Rb 0.0000 0.0000 0.0000 1
Rb2 Rb 0.3333 0.6667 0.5584 1
Gd1 Gd 0.6667 0.3333 0.3375 1
Gd2 Gd 0.6667 0.3333 0.7780 1
Te1 Te 0.3333 0.6667 0.1892 1
O1 O 0.0000 0.0000 0.4085 1
O2 O 0.0000 0.0000 0.6993 1
O3 O 0.3333 0.6667 0.8537 1
```

---

# 10
Rb2GdYO4: simulated powder diffractogram (λ = 1.5418 Å (Cu Kα)), based on a PBE-relaxed structure.
Kinematic intensities with the Lorentz-polarization factor, no thermal factor.

Main lines, low angle first (5° ≤ 2θ ≤ 70°):
- 6.8°, d 12.927, rel. 20, hkl 0 0 1
- 27.6°, d 3.232, rel. 36, hkl 0 0 4
- 30.3°, d 2.949, rel. 22, hkl 1 0 1
- 32.6°, d 2.743, rel. 100, hkl 0 1 2
- 36.3°, d 2.478, rel. 35, hkl 0 1 3
- 52.1°, d 1.756, rel. 34, hkl 0 1 6
- 52.3°, d 1.749, rel. 29, hkl 1 1 0
- 60.2°, d 1.538, rel. 25, hkl 1 1 4

Cell and atoms:
```
data_Rb2GdYO4
_chemical_formula_sum 'Rb2 Gd1 Y1 O4'
_cell_length_a 3.4974
_cell_length_b 3.4974
_cell_length_c 12.9273
_cell_angle_alpha 90.00
_cell_angle_beta 90.00
_cell_angle_gamma 120.00
_symmetry_space_group_name_H-M 'P -3 m 1'
_symmetry_Int_Tables_number 164
_symmetry_space_group_name_Hall '-P 3 2"'
loop_
_atom_site_label
_atom_site_type_symbol
_atom_site_fract_x
_atom_site_fract_y
_atom_site_fract_z
_atom_site_occupancy
Rb1 Rb 0.3333 0.6667 0.2495 1
Gd1 Gd 0.0000 0.0000 0.5000 1
Y1 Y 0.0000 0.0000 0.0000 1
O1 O 0.3333 0.6667 0.5906 1
O2 O 0.3333 0.6667 0.9110 1
```

---

# 11
Gd2SO6: simulated powder diffractogram (λ = 1.5418 Å (Cu Kα)), based on a PBE-relaxed structure.
Kinematic intensities with the Lorentz-polarization factor, no thermal factor.

Main lines, low angle first (5° ≤ 2θ ≤ 70°):
- 13.8°, d 6.437, rel. 37, hkl 0 2 0
- 29.9°, d 2.985, rel. 100, hkl 0 3 1
- 30.5°, d 2.928, rel. 94, hkl 2 3 0
- 31.0°, d 2.883, rel. 91, hkl 2 0 1
- 42.1°, d 2.147, rel. 33, hkl 0 6 0
- 53.2°, d 1.721, rel. 45, hkl 2 6 1
- 54.1°, d 1.694, rel. 42, hkl 2 3 2
- 55.2°, d 1.663, rel. 37, hkl 4 3 1

Cell and atoms:
```
data_Gd2SO6
_chemical_formula_sum 'Gd8 S4 O24'
_cell_length_a 8.008
_cell_length_b 12.874
_cell_length_c 4.155
_cell_angle_alpha 90.00
_cell_angle_beta 90.00
_cell_angle_gamma 90.00
_symmetry_space_group_name_H-M 'P n m a'
_symmetry_Int_Tables_number 62
_symmetry_space_group_name_Hall '-P 2ac 2n'
loop_
_atom_site_label
_atom_site_type_symbol
_atom_site_fract_x
_atom_site_fract_y
_atom_site_fract_z
_atom_site_occupancy
Gd1 Gd 0.125 0.080 0.241 1
S1 S 0.124 0.750 0.303 1
O1 O 0.025 0.250 0.482 1
O2 O 0.124 0.656 0.103 1
O3 O 0.125 0.005 0.733 1
O4 O 0.225 0.250 0.014 1
```

---

# 12
Gd2SO6: simulated powder diffractogram (λ = 1.5418 Å (Cu Kα)), based on a PBE-relaxed structure.
Kinematic intensities with the Lorentz-polarization factor, no thermal factor.

Main lines, low angle first (5° ≤ 2θ ≤ 70°):
- 13.0°, d 6.830, rel. 49, hkl 0 2 0
- 29.1°, d 3.068, rel. 100, hkl 1 3 0
- 29.5°, d 3.026, rel. 96, hkl 0 3 1
- 30.8°, d 2.899, rel. 72, hkl 1 0 1
- 51.0°, d 1.791, rel. 42, hkl 1 6 1
- 53.5°, d 1.712, rel. 34, hkl 2 3 1
- 54.3°, d 1.690, rel. 31, hkl 1 3 2
- 61.2°, d 1.514, rel. 18, hkl 0 6 2

Cell and atoms:
```
data_Gd2SO6
_chemical_formula_sum 'Gd4 S2 O12'
_cell_length_a 4.153
_cell_length_b 13.660
_cell_length_c 4.050
_cell_angle_alpha 90.00
_cell_angle_beta 90.00
_cell_angle_gamma 90.00
_symmetry_space_group_name_H-M 'P 21 21 2'
_symmetry_Int_Tables_number 18
_symmetry_space_group_name_Hall 'P 2 2ab'
loop_
_atom_site_label
_atom_site_type_symbol
_atom_site_fract_x
_atom_site_fract_y
_atom_site_fract_z
_atom_site_occupancy
Gd1 Gd 0.015 0.176 0.255 1
S1 S 0.000 0.500 0.198 1
O1 O 0.010 0.252 0.754 1
O2 O 0.177 0.571 0.402 1
O3 O 0.228 0.447 0.986 1
```